[1]
Computed powder diffraction line list
Compound: Ca2PaPd2O6
Radiation: a wavelength of 1.5418 Å
Structure: a crystal structure in Alexandria, relaxed with PBE
Lines closer than 0.1° are merged.

Lattice parameters (Å, degrees): 5.619 5.619 5.672 90.00 90.00 120.00
Atoms (fractional coordinates):
1 Ca 0.333 0.667 0.000
2 Ca 0.667 0.333 0.000
3 Pa 0.000 0.000 0.500
4 Pd 0.333 0.667 0.500
5 Pd 0.667 0.333 0.500
6 O 0.000 0.320 0.739
7 O 0.000 0.680 0.261
8 O 0.320 0.000 0.739
9 O 0.320 0.320 0.261
10 O 0.680 0.000 0.261
11 O 0.680 0.680 0.739

Top 10 peaks for 2θ = 10–80°, by intensity:
2θ 45.44, intensity 100, hkl 2 -1 2
2θ 15.62, intensity 99, hkl 0 0 1
2θ 31.85, intensity 94, hkl 1 1 0
2θ 35.66, intensity 81, hkl 2 -1 1
2θ 24.10, intensity 42, hkl 1 0 1
2θ 56.76, intensity 29, hkl 3 0 0
2θ 31.55, intensity 25, hkl 0 0 2
2θ 75.53, intensity 21, hkl 2 2 2
2θ 58.88, intensity 21, hkl 1 1 3
2θ 66.40, intensity 20, hkl 3 0 2

[2]
Computed powder diffraction line list
Compound: Ca2PaPtO8
Radiation: a wavelength of 1.5418 Å
Structure: a crystal structure in Alexandria, relaxed with PBE
Lines closer than 0.1° are merged.

Lattice parameters (Å, degrees): 4.538 6.859 5.234 90.00 91.95 90.00
Atoms (fractional coordinates):
1 Ca 0.000 0.248 0.000
2 Ca 0.000 0.752 0.000
3 Pa 0.500 0.000 0.500
4 Pt 0.500 0.500 0.500
5 O 0.085 0.500 0.385
6 O 0.120 0.000 0.263
7 O 0.419 0.275 0.738
8 O 0.419 0.725 0.738
9 O 0.581 0.275 0.262
10 O 0.581 0.725 0.262
11 O 0.880 0.000 0.737
12 O 0.915 0.500 0.615

Top 10 peaks for 2θ = 10–80°, by intensity:
2θ 16.95, intensity 100, hkl 0 0 1
2θ 31.18, intensity 98, hkl 0 2 1
2θ 25.55, intensity 68, hkl 1 0 -1
2θ 26.44, intensity 62, hkl 1 0 1
2θ 19.57, intensity 61, hkl 1 0 0
2θ 32.74, intensity 48, hkl 1 2 0
2θ 47.60, intensity 39, hkl 1 2 -2
2θ 36.76, intensity 31, hkl 1 2 -1
2θ 25.98, intensity 31, hkl 0 2 0
2θ 48.66, intensity 31, hkl 1 2 2

[3]
Computed powder diffraction line list
Compound: Sr2CaPaO6
Radiation: a wavelength of 1.5418 Å
Structure: a crystal structure in Alexandria, relaxed with PBE
Lines closer than 0.1° are merged.

Lattice parameters (Å, degrees): 6.030 6.171 10.459 90.00 124.45 90.00
Atoms (fractional coordinates):
1 Sr 0.228 0.047 0.245
2 Sr 0.228 0.453 0.745
3 Sr 0.772 0.547 0.255
4 Sr 0.772 0.953 0.755
5 Ca 0.000 0.000 0.500
6 Ca 0.000 0.500 0.000
7 Pa 0.500 0.000 0.000
8 Pa 0.500 0.500 0.500
9 O 0.161 0.194 0.947
10 O 0.161 0.306 0.447
11 O 0.239 0.720 0.932
12 O 0.239 0.780 0.432
13 O 0.373 0.050 0.763
14 O 0.373 0.450 0.263
15 O 0.627 0.550 0.737
16 O 0.627 0.950 0.237
17 O 0.761 0.220 0.568
18 O 0.761 0.280 0.068
19 O 0.839 0.694 0.553
20 O 0.839 0.806 0.053

Top 10 peaks for 2θ = 10–80°, by intensity:
2θ 29.15, intensity 100, hkl 1 1 1
2θ 29.43, intensity 98, hkl 1 1 -3
2θ 17.67, intensity 74, hkl 0 1 1
2θ 41.90, intensity 74, hkl 0 0 4
2θ 28.94, intensity 45, hkl 0 2 0
2θ 29.63, intensity 44, hkl 2 0 -2
2θ 18.06, intensity 38, hkl 1 0 -2
2θ 51.75, intensity 34, hkl 0 2 4
2θ 20.60, intensity 28, hkl 1 1 -1
2θ 34.59, intensity 25, hkl 2 1 -1